Structure and calculated XRD peak list of Cs3YP2O8 (a PBE-relaxed structure; Cu Kα).

Main lines, sorted by position (10 to 90 degrees two-theta):
| hkl | 2θ/deg | I/Imax |
| --- | --- | --- |
| 2 1 -2 | 22.6 | 28 |
| 0 2 2 | 24.3 | 43 |
| 2 2 0 | 24.7 | 31 |
| 1 1 -3 | 26.4 | 38 |
| 2 2 -2 | 27.0 | 100 |
| 3 1 -1 | 27.1 | 55 |
| 2 1 -3 | 28.3 | 27 |
| 2 0 2 | 28.6 | 61 |
| 1 3 1 | 29.2 | 66 |
| 4 0 -5 | 48.6 | 21 |

```
data_Cs3YP2O8
_chemical_formula_sum 'Cs12 Y4 P8 O32'
_cell_length_a 10.3867
_cell_length_b 10.5100
_cell_length_c 10.7071
_cell_angle_alpha 90.00
_cell_angle_beta 107.46
_cell_angle_gamma 90.00
_space_group_name_H-M_alt 'P 1 21 1'
_space_group_IT_number 4
_space_group_name_Hall 'P 2yb'
loop_
_atom_site_label
_atom_site_type_symbol
_atom_site_fract_x
_atom_site_fract_y
_atom_site_fract_z
Cs1 Cs 0.0084 0.0000 0.2967
Cs2 Cs 0.0358 0.6469 0.1673
Cs3 Cs 0.2701 0.9356 0.0634
Cs4 Cs 0.2854 0.5168 0.5212
Cs5 Cs 0.3306 0.4003 0.9576
Cs6 Cs 0.4744 0.1039 0.7244
Y1 Y 0.1575 0.8520 0.6609
Y2 Y 0.3430 0.2077 0.3380
P1 P 0.0980 0.3251 0.1517
P2 P 0.1338 0.1985 0.5774
P3 P 0.3623 0.8627 0.4244
P4 P 0.3988 0.7255 0.8438
O1 O 0.0097 0.7475 0.5014
O2 O 0.0237 0.8436 0.7925
O3 O 0.0593 0.3775 0.0112
O4 O 0.1148 0.0601 0.6248
O5 O 0.1427 0.1812 0.1597
O6 O 0.1978 0.2847 0.6956
O7 O 0.2225 0.1935 0.4830
O8 O 0.2272 0.3934 0.2441
O9 O 0.2683 0.6598 0.7529
O10 O 0.2749 0.8717 0.5182
O11 O 0.2946 0.7782 0.3056
O12 O 0.3623 0.8719 0.8288
O13 O 0.3861 0.9998 0.3774
O14 O 0.4325 0.6837 0.9873
O15 O 0.4780 0.1997 0.2082
O16 O 0.4962 0.3073 0.4979
```


Structure and calculated XRD peak list of Cs3PaO4 (a PBE-relaxed structure; Cu Kα).

Main lines, sorted by position (10 to 90 degrees two-theta):
| hkl | 2θ/deg | I/Imax |
| --- | --- | --- |
| 2 1 0 | 22.4 | 21 |
| 0 2 0 | 22.5 | 13 |
| 0 0 2 | 25.8 | 100 |
| 0 2 1 | 26.0 | 31 |
| 2 1 2 | 34.4 | 12 |
| 2 3 0 | 39.4 | 19 |
| 2 1 3 | 45.6 | 29 |
| 4 0 2 | 47.5 | 11 |
| 4 2 1 | 47.6 | 13 |
| 2 3 2 | 47.7 | 19 |

```
data_Cs3PaO4
_chemical_formula_sum 'Cs6 Pa2 O8'
_cell_length_a 9.2083
_cell_length_b 7.8936
_cell_length_c 6.9049
_cell_angle_alpha 90.00
_cell_angle_beta 90.00
_cell_angle_gamma 90.00
_space_group_name_H-M_alt 'P m n 21'
_space_group_IT_number 31
_space_group_name_Hall 'P 2ac -2'
loop_
_atom_site_label
_atom_site_type_symbol
_atom_site_fract_x
_atom_site_fract_y
_atom_site_fract_z
Cs1 Cs 0.0000 0.1593 0.0000
Cs2 Cs 0.2429 0.3260 0.4994
Pa1 Pa 0.0000 0.8247 0.4860
O1 O 0.0000 0.0773 0.5678
O2 O 0.0000 0.8221 0.1855
O3 O 0.1887 0.7012 0.5666
```